Starting from DFT lattice parameters and positions (PBE+U), the PXRD pattern of Ni5Te2O12 was calculated for Cu Kα, 1.54184 Å.
Intensities are scaled so that the largest is 100.

Largest 6 diffraction maxima, in order of falling intensity, 2θ = 10–90°:
Position (°2θ)  d/Å  I_rel
18.4  4.830  100
42.1  2.145  100
24.1  3.692  83
19.6  4.540  60
44.9  2.020  45
37.1  2.423  40

Structural model:
Lattice parameters (Å, degrees): 5.204 5.204 9.929 96.49 96.49 121.50
Fractional coordinates of all 19 atoms:
Ni 0.000 0.000 0.000
Ni 0.435 0.037 0.242
Ni 0.528 0.472 0.500
Ni 0.867 0.133 0.500
Ni 0.963 0.565 0.758
Te 0.197 0.803 0.500
Te 0.672 0.328 0.000
O 0.014 0.729 0.111
O 0.161 0.069 0.387
O 0.235 0.541 0.616
O 0.271 0.986 0.889
O 0.389 0.319 0.119
O 0.459 0.765 0.384
O 0.576 0.181 0.610
O 0.681 0.611 0.881
O 0.740 0.078 0.111
O 0.819 0.424 0.390
O 0.922 0.260 0.889
O 0.931 0.839 0.613